Theoretical powder XRD pattern of Na8B11C5 for Cu Kα X-rays, from a crystal structure in Alexandria, relaxed with PBE.
Intensities are scaled so that the largest is 100.

Principal peaks in the range 2θ = 10–90°, sorted by position:
index	d (Å)	two_theta	I (rel.)
0 0 4	2.576	34.83	12
1 0 2	2.462	36.50	16
0 2 4	2.209	40.85	49
0 4 0	2.149	42.05	39
1 2 2	2.136	42.31	100
1 0 6	1.464	63.54	17
1 6 2	1.238	77.02	13
1 4 6	1.210	79.16	17

Structure:
```
Na8B11C5
1.0
2.803 0.000 0.000
0.000 8.595 0.000
0.000 0.000 10.303
Na B C
8 11 5
Direct
0.000 0.247 0.000
0.000 0.248 0.497
0.000 0.752 0.497
0.000 0.753 0.000
0.500 0.249 0.247
0.500 0.252 0.746
0.500 0.748 0.746
0.500 0.751 0.247
0.000 0.000 0.336
0.000 0.000 0.810
0.000 0.500 0.158
0.000 0.500 0.323
0.000 0.500 0.659
0.000 0.500 0.823
0.500 0.000 0.095
0.500 0.000 0.575
0.500 0.000 0.922
0.500 0.500 0.430
0.500 0.500 0.930
0.000 0.000 0.175
0.000 0.000 0.656
0.500 0.000 0.416
0.500 0.500 0.080
0.500 0.500 0.580
```